1.
The following is a simulated X-ray powder pattern of Ac4GaRu. It was derived from a structure optimized by DFT (GGA-PBE), using λ = 1.5418 Å (Cu Kα).
Lines closer than 0.1° are merged.

Peak list (10 most intense, 2θ from 5° to 70°, in order of rising 2θ)
- 24.79°, intensity 78, (0 2 -1)
- 27.26°, intensity 83, (1 -1 2)
- 27.49°, intensity 49, (1 1 1)
- 27.82°, intensity 37, (-2 1 1)
- 27.98°, intensity 66, (-1 1 2)
- 28.75°, intensity 55, (2 1 -1)
- 29.28°, intensity 100, (1 1 -3)
- 29.35°, intensity 38, (1 2 -2)
- 31.58°, intensity 50, (1 -2 2)
- 32.07°, intensity 57, (2 1 0)

Crystal structure
```
data_Ac4GaRu
_chemical_formula_sum 'Ac8 Ga2 Ru2'
_space_group_name_H-M_alt 'P -1'
_space_group_IT_number 2
_space_group_name_Hall '-P 1'
_cell_length_a 7.2003
_cell_length_b 7.2107
_cell_length_c 9.2952
_cell_angle_alpha 109.93
_cell_angle_beta 107.79
_cell_angle_gamma 93.88
loop_
_atom_site_label
_atom_site_fract_x
_atom_site_fract_y
_atom_site_fract_z
Ac1 0.0674 0.2059 0.4137
Ac2 0.2367 0.3510 0.8967
Ac3 0.2856 0.9354 0.0555
Ac4 0.3709 0.7060 0.3870
Ga1 0.3764 0.6610 0.7263
Ru1 0.3304 0.0116 0.6835
```

2.
The following is a simulated X-ray powder pattern of TbTiBe. It was derived from a structure optimized by DFT (GGA-PBE), using λ = 1.5418 Å (Cu Kα).
Lines closer than 0.1° are merged.

Peak list (10 most intense, 2θ from 5° to 70°, in order of rising 2θ)
- 7.93°, intensity 31, (0 0 1)
- 15.90°, intensity 33, (0 0 2)
- 23.95°, intensity 33, (0 0 3)
- 28.09°, intensity 34, (1 0 0)
- 29.23°, intensity 54, (1 0 1)
- 32.44°, intensity 32, (1 0 2)
- 37.24°, intensity 100, (1 0 3)
- 40.14°, intensity 48, (1 1 0)
- 47.28°, intensity 22, (1 1 3)
- 57.46°, intensity 20, (1 0 6)

Crystal structure
```
data_TbTiBe
_chemical_formula_sum 'Tb2 Ti2 Be2'
_space_group_name_H-M_alt 'P 4/m m m'
_space_group_IT_number 123
_space_group_name_Hall '-P 4 2'
_cell_length_a 3.1767
_cell_length_b 3.1767
_cell_length_c 11.1485
_cell_angle_alpha 90.00
_cell_angle_beta 90.00
_cell_angle_gamma 90.00
loop_
_atom_site_label
_atom_site_fract_x
_atom_site_fract_y
_atom_site_fract_z
Tb1 0.0000 0.0000 0.1724
Ti1 0.5000 0.5000 0.3798
Be1 0.0000 0.0000 0.5000
Be2 0.5000 0.5000 0.0000
```